Starting from the PBE geometry in Alexandria, the X-ray diffraction stick pattern of Pr3HoBi3 was calculated for copper Kα.
Lines closer than 0.1° are merged.

Largest 12 diffraction maxima, by intensity, 2θ from 10° to 90°:
2θ (°)	intensity	(hkl)
33.62	1000	1 1 6
33.10	804	3 0 0
30.55	738	1 2 2
27.53	593	0 0 6
34.57	501	2 1 4
29.47	501	2 1 1
18.93	416	1 1 0
23.42	328	1 1 3
60.50	273	2 4 1
67.36	246	0 3 12
43.57	240	0 3 6
41.15	239	4 -1 2

abc: 9.3740 9.3740 19.4432
angles: 90.00 90.00 120.00
Space group R-3 (No. 148, hexagonal axes)
Inequivalent atoms, fractional coordinates:
1 Pr 0.0042 0.2613 0.0854 (multiplicity 18)
2 Ho 0.0000 0.0000 0.3326 (multiplicity 6)
3 Bi 0.0040 0.3937 0.9200 (multiplicity 18)

=====

Starting from the PBE geometry in Alexandria, the X-ray diffraction stick pattern of Rb14Tb2O9 was calculated for copper Kα.
Lines closer than 0.1° are merged.

Largest 12 diffraction maxima, by intensity, 2θ from 10° to 90°:
2θ (°)	intensity	(hkl)
26.35	1000	1 1 2
25.98	420	2 0 1
37.67	412	2 -1 4
37.56	356	3 0 0
33.90	333	3 -1 1
14.47	241	0 1 1
56.40	147	2 3 1
46.47	134	4 -2 2
51.52	107	3 1 3
61.22	100	4 1 2
51.60	94	1 2 5
33.11	93	0 1 4

abc: 8.2945 8.2945 11.6843
angles: 90.00 90.00 120.00
Space group P-3 (No. 147)
Inequivalent atoms, fractional coordinates:
1 Rb 0.0000 0.0000 0.2494 (multiplicity 2)
2 Rb 0.0203 0.6660 0.4050 (multiplicity 6)
3 Rb 0.0973 0.3894 0.0925 (multiplicity 6)
4 Tb 0.3333 0.6667 0.7835 (multiplicity 2)
5 O 0.0000 0.0000 0.5000 (multiplicity 1)
6 O 0.1184 0.3882 0.8443 (multiplicity 6)
7 O 0.3333 0.6667 0.5972 (multiplicity 2)